Simulated powder XRD pattern of InMoO3 for Cu Kα (weighted mean of Kα1 and Kα2), from DFT lattice parameters and positions (PBE+U).

Structural model:
abc: 4.0194 4.0194 4.0194
angles: 90.00 90.00 90.00
Space group Pm-3m (No. 221)
Inequivalent atoms, fractional coordinates:
In1 0.0000 0.0000 0.0000
Mo1 0.5000 0.5000 0.5000
O1 0.0000 0.5000 0.5000

Top 8 peaks for 10° ≤ 2θ ≤ 90°, by angle:
| two_theta | d/Å | Rel. int. | (hkl) |
| --- | --- | --- | --- |
| 31.48 | 2.842 | 100.0 | 1 1 0 |
| 38.81 | 2.321 | 4.4 | 1 1 1 |
| 45.11 | 2.010 | 31.4 | 2 0 0 |
| 56.04 | 1.641 | 38.2 | 2 1 1 |
| 65.71 | 1.421 | 18.6 | 2 2 0 |
| 74.68 | 1.271 | 16.4 | 3 1 0 |
| 79.01 | 1.212 | 1.0 | 3 1 1 |
| 83.27 | 1.160 | 6.3 | 2 2 2 |

---

Simulated powder XRD pattern of In2MoPbO8 for Cu Kα (weighted mean of Kα1 and Kα2), from DFT lattice parameters and positions (PBE+U).

Structural model:
abc: 4.8943 6.6647 4.9009
angles: 90.00 92.14 90.00
Space group P2/m (No. 10)
Inequivalent atoms, fractional coordinates:
In1 0.0000 0.2422 0.0000
Mo1 0.5000 0.0000 0.5000
Pb1 0.5000 0.5000 0.5000
O1 0.1947 0.5000 0.1922
O2 0.2137 0.0000 0.2115
O3 0.3125 0.2173 0.6854

Top 10 peaks for 10° ≤ 2θ ≤ 90°, by angle:
| two_theta | d/Å | Rel. int. | (hkl) |
| --- | --- | --- | --- |
| 22.54 | 3.945 | 11.2 | 1 1 0 |
| 25.25 | 3.527 | 61.5 | 1 0 -1 |
| 26.23 | 3.398 | 54.1 | 1 0 1 |
| 32.51 | 2.754 | 100.0 | 1 2 0 |
| 36.73 | 2.447 | 28.4 | 0 0 2 |
| 49.29 | 1.849 | 41.3 | 2 2 -1 |
| 50.40 | 1.811 | 37.3 | 2 2 1 |
| 63.49 | 1.465 | 22.7 | 0 2 3 |
| 68.08 | 1.377 | 10.5 | 0 4 2 |
| 86.29 | 1.127 | 11.1 | 1 2 -4 |

---

Simulated powder XRD pattern of PmInMo2O8 for Cu Kα (weighted mean of Kα1 and Kα2), from DFT lattice parameters and positions (PBE+U).

Structural model:
abc: 5.2258 5.2258 11.2242
angles: 90.00 90.00 90.00
Space group I-4 (No. 82)
Inequivalent atoms, fractional coordinates:
Pm1 0.0000 0.0000 0.0000
In1 0.0000 0.5000 0.7500
Mo1 0.0000 0.0000 0.5000
Mo2 0.0000 0.5000 0.2500
O1 0.1935 0.2187 0.5883
O2 0.2024 0.7677 0.1618

Top 10 peaks for 10° ≤ 2θ ≤ 90°, by angle:
| two_theta | d/Å | Rel. int. | (hkl) |
| --- | --- | --- | --- |
| 28.93 | 3.086 | 100.0 | 1 1 2 |
| 31.89 | 2.806 | 13.0 | 0 0 4 |
| 34.32 | 2.613 | 17.5 | 2 0 0 |
| 47.55 | 1.912 | 32.0 | 2 0 4 |
| 49.32 | 1.848 | 15.8 | 2 2 0 |
| 55.02 | 1.669 | 15.7 | 1 1 6 |
| 58.20 | 1.585 | 26.4 | 1 3 2 |
| 59.94 | 1.543 | 9.7 | 2 2 4 |
| 76.99 | 1.239 | 11.9 | 3 1 6 |
| 77.17 | 1.236 | 6.4 | 2 0 8 |

---

Simulated powder XRD pattern of Rb2InMoO6 for Cu Kα (weighted mean of Kα1 and Kα2), from DFT lattice parameters and positions (PBE+U).

Structural model:
abc: 6.1314 6.1314 29.6779
angles: 90.00 90.00 120.00
Space group R-3m (No. 166, hexagonal axes)
Inequivalent atoms, fractional coordinates:
Rb1 0.0000 0.0000 0.1300
Rb2 0.0000 0.0000 0.2779
In1 0.0000 0.0000 0.4012
Mo1 0.0000 0.0000 0.0000
Mo2 0.0000 0.0000 0.5000
O1 0.0315 0.5158 0.7042
O2 0.0451 0.5226 0.1262

Top 10 peaks for 10° ≤ 2θ ≤ 90°, by angle:
| two_theta | d/Å | Rel. int. | (hkl) |
| --- | --- | --- | --- |
| 17.74 | 5.000 | 16.7 | 0 1 2 |
| 26.91 | 3.313 | 30.0 | 1 0 7 |
| 29.13 | 3.066 | 100.0 | 1 1 0 |
| 29.37 | 3.041 | 35.4 | 0 1 8 |
| 40.10 | 2.249 | 35.7 | 0 2 7 |
| 41.84 | 2.159 | 16.2 | 2 0 8 |
| 45.86 | 1.979 | 16.8 | 0 2 10 |
| 51.64 | 1.770 | 19.2 | 3 0 0 |
| 55.26 | 1.662 | 25.4 | 1 1 15 |
| 60.39 | 1.533 | 19.4 | 2 2 0 |